Entry 1:
Structure and calculated X-ray diffraction stick pattern of MgCu2O4 (a structure optimized by DFT (PBE); Cu Ka).

Crystal structure
```
14
Lattice="-3.002 3.007 4.043 3.002 -3.007 4.043 3.002 3.007 -4.043" Properties=species:S:1:pos:R:3 pbc="T T T"
Mg 0.000 0.000 0.000
Mg 0.000 3.007 0.000
Cu 1.501 1.503 -2.022
Cu 1.501 -1.503 2.022
Cu 3.002 1.503 0.926
Cu 0.000 1.503 3.118
O 3.002 -0.146 1.963
O 3.002 2.861 -1.963
O 1.379 1.503 -0.099
O 1.622 -1.503 3.944
O 1.379 4.510 0.099
O 1.622 1.503 4.143
O 0.000 0.146 6.007
O 0.000 3.153 2.080
```

Peak list (12 most intense, 5 to 70 degrees two-theta, by angle)
d = 4.824 Å, intensity 22
d = 3.006 Å, intensity 31
d = 2.929 Å, intensity 39
d = 2.549 Å, intensity 100
d = 2.460 Å, intensity 52
d = 2.124 Å, intensity 12
d = 1.720 Å, intensity 15
d = 1.632 Å, intensity 33
d = 1.562 Å, intensity 12
d = 1.503 Å, intensity 11
d = 1.501 Å, intensity 11
d = 1.464 Å, intensity 41



Entry 2:
Structure and calculated X-ray diffraction stick pattern of MgCu2O4 (a structure optimized by DFT (PBE); Cu Ka).

Crystal structure
```
14
Lattice="-2.725 2.725 5.606 2.725 -2.725 5.606 2.725 2.725 -5.606" Properties=species:S:1:pos:R:3 pbc="T T T"
Mg 2.725 1.362 1.401
Mg 0.000 1.362 4.204
Cu 0.000 0.000 0.000
Cu 1.362 1.362 -2.803
Cu 1.362 -1.362 2.803
Cu 0.000 2.725 0.000
O 2.725 -0.122 2.738
O 2.725 2.603 -2.738
O 1.240 1.362 0.064
O 1.484 -1.362 5.670
O 1.240 4.087 -0.064
O 1.484 1.362 5.541
O 0.000 0.122 8.344
O 0.000 2.846 2.867
```

Peak list (12 most intense, 5 to 70 degrees two-theta, by angle)
d = 4.901 Å, intensity 100
d = 3.082 Å, intensity 100
d = 2.803 Å, intensity 68
d = 2.450 Å, intensity 31
d = 2.381 Å, intensity 70
d = 2.074 Å, intensity 25
d = 2.041 Å, intensity 16
d = 1.927 Å, intensity 40
d = 1.588 Å, intensity 65
d = 1.498 Å, intensity 21
d = 1.401 Å, intensity 17
d = 1.362 Å, intensity 18



Entry 3:
Structure and calculated X-ray diffraction stick pattern of Mg7Cu17O24 (a structure optimized by DFT (PBE); Cu Ka).

Crystal structure
```
48
Lattice="8.088 0.000 0.000 0.000 9.428 0.000 0.000 0.000 6.473" Properties=species:S:1:pos:R:3 pbc="T T T"
Mg 0.000 0.000 0.000
Mg 0.000 0.000 3.232
Mg 2.015 4.714 5.629
Mg 2.025 4.714 2.392
Mg 4.044 0.000 0.015
Mg 6.063 4.714 2.392
Mg 6.073 4.714 5.629
Cu 0.000 3.160 0.653
Cu 0.000 3.162 3.887
Cu 0.000 6.268 0.653
Cu 0.000 6.266 3.887
Cu 2.025 1.554 4.987
Cu 2.025 7.873 4.987
Cu 2.032 1.554 1.745
Cu 2.032 7.873 1.745
Cu 4.044 0.000 3.283
Cu 4.044 3.165 0.596
Cu 4.044 3.170 3.883
Cu 4.044 6.263 0.596
Cu 4.044 6.258 3.883
Cu 6.056 1.554 1.745
Cu 6.056 7.873 1.745
Cu 6.063 1.554 4.987
Cu 6.063 7.873 4.987
O 0.000 1.435 1.604
O 0.000 1.436 4.811
O 0.000 4.714 2.745
O 0.000 4.714 5.977
O 0.000 7.992 1.604
O 0.000 7.992 4.811
O 2.023 0.000 6.119
O 2.021 3.264 4.044
O 2.021 6.163 4.044
O 2.031 3.264 0.809
O 2.031 6.163 0.809
O 2.068 0.000 2.864
O 4.044 1.495 1.558
O 4.044 1.504 4.895
O 4.044 4.714 2.742
O 4.044 4.714 5.944
O 4.044 7.923 4.895
O 4.044 7.933 1.558
O 6.021 0.000 2.864
O 6.058 3.264 0.809
O 6.058 6.163 0.809
O 6.066 0.000 6.119
O 6.067 3.264 4.044
O 6.067 6.163 4.044
```

Peak list (12 most intense, 5 to 70 degrees two-theta, by angle)
d = 3.717 Å, intensity 19
d = 3.236 Å, intensity 13
d = 3.061 Å, intensity 21
d = 2.668 Å, intensity 35
d = 2.527 Å, intensity 71
d = 2.481 Å, intensity 68
d = 2.255 Å, intensity 100
d = 2.022 Å, intensity 58
d = 1.905 Å, intensity 16
d = 1.595 Å, intensity 13
d = 1.571 Å, intensity 23
d = 1.505 Å, intensity 49



Entry 4:
Structure and calculated X-ray diffraction stick pattern of MgCu2O2 (a structure optimized by DFT (PBE); Cu Ka).

Crystal structure
```
10
Lattice="5.612 0.000 0.000 0.000 3.176 0.000 -0.127 0.000 6.972" Properties=species:S:1:pos:R:3 pbc="T T T"
Mg 0.000 0.000 0.000
Mg 2.806 1.588 0.000
Cu 0.899 1.588 4.270
Cu 1.818 0.000 2.534
Cu 3.705 0.000 4.270
Cu 4.623 1.588 2.534
O -0.063 0.000 4.997
O 1.854 0.000 0.642
O 2.743 1.588 4.997
O 4.659 1.588 0.642
```

Peak list (12 most intense, 5 to 70 degrees two-theta, by angle)
d = 6.972 Å, intensity 75
d = 2.586 Å, intensity 52
d = 2.577 Å, intensity 100
d = 2.324 Å, intensity 23
d = 2.205 Å, intensity 15
d = 2.175 Å, intensity 23
d = 2.156 Å, intensity 30
d = 1.771 Å, intensity 18
d = 1.612 Å, intensity 31
d = 1.588 Å, intensity 15
d = 1.468 Å, intensity 11
d = 1.353 Å, intensity 12



Entry 5:
Structure and calculated X-ray diffraction stick pattern of MgCu2O4 (a structure optimized by DFT (PBE); Cu Ka).

Crystal structure
```
14
Lattice="5.184 -2.938 0.000 5.184 2.938 0.000 -3.305 0.000 4.853" Properties=species:S:1:pos:R:3 pbc="T T T"
Mg 0.038 0.000 1.824
Mg 7.026 0.000 3.029
Cu 2.592 1.469 0.000
Cu 2.592 -1.469 0.000
Cu 5.184 0.000 0.000
Cu 3.532 0.000 2.426
O 1.864 0.000 1.086
O 4.240 1.320 1.181
O 0.168 0.000 3.809
O 2.824 1.320 3.671
O 4.240 -1.320 1.181
O 6.896 0.000 1.044
O 2.824 -1.320 3.671
O 5.200 0.000 3.767
```

Peak list (12 most intense, 5 to 70 degrees two-theta, by angle)
d = 4.845 Å, intensity 100
d = 2.570 Å, intensity 34
d = 2.565 Å, intensity 9
d = 2.511 Å, intensity 78
d = 2.424 Å, intensity 21
d = 2.143 Å, intensity 25
d = 2.077 Å, intensity 45
d = 1.646 Å, intensity 11
d = 1.600 Å, intensity 26
d = 1.493 Å, intensity 22
d = 1.489 Å, intensity 22
d = 1.468 Å, intensity 21



Entry 6:
Structure and calculated X-ray diffraction stick pattern of MgCu2O4 (a structure optimized by DFT (PBE); Cu Ka).

Crystal structure
```
28
Lattice="2.917 0.000 0.000 -0.007 8.733 0.000 -0.006 -0.001 10.293" Properties=species:S:1:pos:R:3 pbc="T T T"
Mg 0.000 0.000 0.000
Mg 0.005 4.377 8.490
Mg 1.437 0.156 5.166
Mg 1.452 4.542 3.321
Cu 0.007 7.391 2.705
Cu 0.009 7.156 8.001
Cu 1.445 1.513 7.850
Cu 1.453 1.747 2.851
Cu 1.466 5.878 0.629
Cu 1.466 6.106 5.629
Cu 2.906 2.780 0.476
Cu 2.904 3.026 5.767
O 2.910 2.042 9.025
O 0.004 4.804 4.991
O 0.005 5.559 2.028
O 0.000 6.376 9.734
O 0.004 7.477 6.058
O 1.434 1.409 0.902
O 1.434 3.343 7.171
O 1.449 2.514 4.575
O 1.448 4.095 10.153
O 1.468 6.854 3.889
O 1.468 7.716 1.289
O 1.469 5.774 7.567
O 1.468 8.476 8.642
O 2.895 1.185 6.436
O 2.905 3.114 2.415
O 2.912 0.434 3.495
```

Peak list (12 most intense, 5 to 70 degrees two-theta, by angle)
d = 4.434 Å, intensity 30
d = 4.366 Å, intensity 44
d = 2.573 Å, intensity 44
d = 2.534 Å, intensity 83
d = 2.437 Å, intensity 100
d = 2.426 Å, intensity 43
d = 2.154 Å, intensity 14
d = 1.884 Å, intensity 16
d = 1.765 Å, intensity 48
d = 1.748 Å, intensity 28
d = 1.458 Å, intensity 39
d = 1.446 Å, intensity 26



Entry 7:
Structure and calculated X-ray diffraction stick pattern of MgCu2O2 (a structure optimized by DFT (PBE); Cu Ka).

Crystal structure
```
10
Lattice="4.092 0.000 0.000 0.000 4.090 0.000 -0.031 0.000 7.652" Properties=species:S:1:pos:R:3 pbc="T T T"
Mg 0.000 0.000 0.000
Mg 2.046 2.045 0.000
Cu 0.980 3.033 2.566
Cu 1.035 0.988 5.086
Cu 3.026 0.988 2.566
Cu 3.082 3.033 5.086
O -0.015 1.978 3.826
O 0.000 2.046 0.000
O 2.046 0.001 0.000
O 2.031 4.023 3.826
```

Peak list (12 most intense, 5 to 70 degrees two-theta, by angle)
d = 7.652 Å, intensity 38
d = 2.706 Å, intensity 100
d = 2.551 Å, intensity 38
d = 2.311 Å, intensity 34
d = 2.304 Å, intensity 29
d = 2.045 Å, intensity 10
d = 1.976 Å, intensity 24
d = 1.803 Å, intensity 23
d = 1.598 Å, intensity 12
d = 1.594 Å, intensity 17
d = 1.446 Å, intensity 16
d = 1.397 Å, intensity 6



Entry 8:
Structure and calculated X-ray diffraction stick pattern of MgCu2O2 (a structure optimized by DFT (PBE); Cu Ka).

Crystal structure
```
10
Lattice="4.071 0.000 0.000 0.000 4.062 0.000 -0.154 0.000 7.825" Properties=species:S:1:pos:R:3 pbc="T T T"
Mg 0.000 0.000 0.000
Mg 2.035 2.031 0.000
Cu 0.916 1.011 5.182
Cu 0.966 3.042 2.644
Cu 3.001 1.011 2.644
Cu 2.951 3.042 5.182
O 0.000 2.033 0.000
O -0.077 2.042 3.913
O 2.035 0.002 0.000
O 1.958 0.011 3.913
```

Peak list (12 most intense, 5 to 70 degrees two-theta, by angle)
d = 7.825 Å, intensity 88
d = 2.711 Å, intensity 100
d = 2.687 Å, intensity 99
d = 2.608 Å, intensity 83
d = 2.332 Å, intensity 68
d = 2.302 Å, intensity 66
d = 2.033 Å, intensity 20
d = 1.966 Å, intensity 25
d = 1.803 Å, intensity 27
d = 1.628 Å, intensity 17
d = 1.438 Å, intensity 32
d = 1.409 Å, intensity 16